(1)
Diffraction record for Ba2LiBi4Au3. The X-ray powder pattern is computed, not measured: it uses DFT lattice parameters and positions (PBE) and Cu Kα (weighted mean of Kα1 and Kα2).

Crystal structure
```
Ba2LiBi4Au3
1.0
4.9208 0.0000 0.0000
0.0000 4.9208 0.0000
0.0000 0.0000 12.2817
Ba Li Bi Au
2 1 4 3
Cartesian
0.0000 2.4604 2.9807
2.4604 0.0000 9.3010
2.4604 2.4604 0.0000
0.0000 0.0000 6.1409
0.0000 2.4604 10.7038
2.4604 0.0000 1.5779
2.4604 2.4604 6.1409
0.0000 0.0000 0.0000
0.0000 2.4604 7.8857
2.4604 0.0000 4.3960
```

Principal peaks in the range 5° ≤ 2θ ≤ 70°, in order of rising 2θ:
| 2θ (°) | d_spacing | I (rel.) |
| --- | --- | --- |
| 19.43 | 4.568 | 43 |
| 28.36 | 3.147 | 62 |
| 29.51 | 3.027 | 100 |
| 36.52 | 2.460 | 86 |
| 39.13 | 2.302 | 64 |
| 41.07 | 2.198 | 43 |
| 46.87 | 1.938 | 32 |
| 52.61 | 1.740 | 32 |
| 56.11 | 1.639 | 34 |
| 67.48 | 1.388 | 27 |

=====

(2)
Diffraction record for Rb2ZrI5Br. The X-ray powder pattern is computed, not measured: it uses DFT lattice parameters and positions (PBE) and Cu Kα (weighted mean of Kα1 and Kα2).

Crystal structure
```
Rb2ZrI5Br
1.0
-4.1917 4.1917 5.7066
4.1917 -4.1917 5.7066
4.1917 4.1917 -5.7066
Rb Zr I Br
2 1 5 1
Cartesian
4.1917 0.0000 0.0000
0.0000 4.1917 0.0000
0.0000 0.0000 2.8140
2.1467 2.1467 -2.8419
2.0450 -2.0450 2.8647
-2.0450 2.0450 2.8647
2.0450 2.0450 2.8647
0.0000 0.0000 5.6955
0.0000 0.0000 0.1936
```

Principal peaks in the range 5° ≤ 2θ ≤ 70°, in order of rising 2θ:
| 2θ (°) | d_spacing | I (rel.) |
| --- | --- | --- |
| 13.10 | 6.757 | 14 |
| 15.53 | 5.707 | 7 |
| 26.38 | 3.378 | 100 |
| 30.15 | 2.964 | 54 |
| 31.35 | 2.853 | 24 |
| 43.16 | 2.096 | 20 |
| 44.05 | 2.056 | 37 |
| 51.30 | 1.781 | 31 |
| 52.85 | 1.732 | 14 |
| 54.31 | 1.689 | 20 |